No. 1
Theoretical powder diffraction line list of YGePd for Cu Kα (weighted mean of Kα1 and Kα2), from a GGA-PBE-relaxed structure.
Lines closer than 0.1° are merged.

Largest 8 diffraction maxima, in order of rising 2θ, 2θ = 10–90°:
- 33.5 deg, intensity 23
- 34.6 deg, intensity 100
- 40.1 deg, intensity 17
- 40.9 deg, intensity 81
- 54.6 deg, intensity 21
- 58.6 deg, intensity 11
- 66.4 deg, intensity 14
- 70.4 deg, intensity 16

Cell: 11.470 11.470 11.470 Å, 157.81 45.32 141.00°
Fractional coordinates of all 18 atoms:
1 Y 0.000 0.000 0.000
2 Y 0.083 0.916 0.166
3 Y 0.327 0.995 0.333
4 Y 0.418 0.918 0.500
5 Y 0.662 0.995 0.667
6 Y 0.750 0.916 0.834
7 Ge 0.202 0.296 0.906
8 Ge 0.348 0.614 0.735
9 Ge 0.390 0.296 0.094
10 Ge 0.733 0.298 0.435
11 Ge 0.863 0.298 0.565
12 Ge 0.879 0.614 0.265
13 Pd 0.021 0.626 0.396
14 Pd 0.052 0.285 0.767
15 Pd 0.230 0.626 0.604
16 Pd 0.518 0.285 0.233
17 Pd 0.557 0.628 0.928
18 Pd 0.700 0.628 0.072

***

No. 2
Theoretical powder diffraction line list of KHgC3S3N3 for Cu Kα (weighted mean of Kα1 and Kα2), from a GGA-PBE-relaxed structure.
Lines closer than 0.1° are merged.

Largest 8 diffraction maxima, in order of rising 2θ, 2θ = 10–90°:
- 14.5 deg, intensity 44
- 15.5 deg, intensity 60
- 17.2 deg, intensity 62
- 22.4 deg, intensity 45
- 23.0 deg, intensity 100
- 25.9 deg, intensity 96
- 27.5 deg, intensity 52
- 31.9 deg, intensity 49

Cell: 11.399 4.170 11.457 Å, 90.00 115.61 90.00°
Fractional coordinates of all 22 atoms:
1 K 0.219 0.250 0.099
2 K 0.781 0.750 0.901
3 Hg 0.235 0.750 0.650
4 Hg 0.765 0.250 0.350
5 C 0.042 0.750 0.783
6 C 0.297 0.750 0.406
7 C 0.473 0.250 0.862
8 C 0.527 0.750 0.138
9 C 0.703 0.250 0.594
10 C 0.958 0.250 0.217
11 S 0.004 0.750 0.625
12 S 0.317 0.250 0.831
13 S 0.400 0.750 0.562
14 S 0.600 0.250 0.438
15 S 0.683 0.750 0.169
16 S 0.996 0.250 0.375
17 N 0.068 0.750 0.895
18 N 0.229 0.750 0.294
19 N 0.416 0.750 0.116
20 N 0.584 0.250 0.884
21 N 0.771 0.250 0.706
22 N 0.932 0.250 0.105

***

Please write out number 1 again, unchanged.
Theoretical powder diffraction line list of YGePd for Cu Kα (weighted mean of Kα1 and Kα2), from a GGA-PBE-relaxed structure.
Lines closer than 0.1° are merged.

Largest 8 diffraction maxima, in order of rising 2θ, 2θ = 10–90°:
- 33.5 deg, intensity 23
- 34.6 deg, intensity 100
- 40.1 deg, intensity 17
- 40.9 deg, intensity 81
- 54.6 deg, intensity 21
- 58.6 deg, intensity 11
- 66.4 deg, intensity 14
- 70.4 deg, intensity 16

Cell: 11.470 11.470 11.470 Å, 157.81 45.32 141.00°
Fractional coordinates of all 18 atoms:
1 Y 0.000 0.000 0.000
2 Y 0.083 0.916 0.166
3 Y 0.327 0.995 0.333
4 Y 0.418 0.918 0.500
5 Y 0.662 0.995 0.667
6 Y 0.750 0.916 0.834
7 Ge 0.202 0.296 0.906
8 Ge 0.348 0.614 0.735
9 Ge 0.390 0.296 0.094
10 Ge 0.733 0.298 0.435
11 Ge 0.863 0.298 0.565
12 Ge 0.879 0.614 0.265
13 Pd 0.021 0.626 0.396
14 Pd 0.052 0.285 0.767
15 Pd 0.230 0.626 0.604
16 Pd 0.518 0.285 0.233
17 Pd 0.557 0.628 0.928
18 Pd 0.700 0.628 0.072